This entry pairs a crystal structure of NbFeAs2 with its calculated XRD peak list. Radiation: Cu Kα. Structure: a DFT-relaxed cell (GGA-PBE, OQMD).

Structural model:
```
data_NbFeAs2
_chemical_formula_sum 'Nb4 Fe4 As8'
_space_group_name_H-M_alt 'F -4 3 m'
_space_group_IT_number 216
_space_group_name_Hall 'F -4 2 3'
_cell_length_a 6.3336
_cell_length_b 6.3336
_cell_length_c 6.3336
_cell_angle_alpha 90.00
_cell_angle_beta 90.00
_cell_angle_gamma 90.00
loop_
_atom_site_label
_atom_site_fract_x
_atom_site_fract_y
_atom_site_fract_z
Nb1 0.0000 0.0000 0.0000
Fe1 0.2500 0.2500 0.2500
As1 0.0000 0.0000 0.5000
As2 0.2500 0.2500 0.7500
```

The 6 most intense peaks (2θ = 15–90°), sorted by position:
d (Å)  two_theta  intensity
3.657  24.3  2
3.167  28.2  2
2.239  40.3  100
1.583  58.3  16
1.293  73.2  32
1.120  87.0  10

***

This entry pairs a crystal structure of CuSbPtS3 with its calculated XRD peak list. Radiation: Cu Kα. Structure: a DFT-relaxed cell (GGA-PBE, OQMD).

Structural model:
```
data_CuSbPtS3
_chemical_formula_sum 'Cu4 Sb4 Pt4 S12'
_space_group_name_H-M_alt 'P 21 21 21'
_space_group_IT_number 19
_space_group_name_Hall 'P 2ac 2ab'
_cell_length_a 4.9290
_cell_length_b 7.6889
_cell_length_c 12.6193
_cell_angle_alpha 90.00
_cell_angle_beta 90.00
_cell_angle_gamma 90.00
loop_
_atom_site_label
_atom_site_fract_x
_atom_site_fract_y
_atom_site_fract_z
Cu1 0.0265 0.1139 0.4405
Sb1 0.0801 0.1198 0.1329
Pt1 0.0077 0.6365 0.7485
S1 0.2375 0.1361 0.9136
S2 0.2394 0.6336 0.9125
S3 0.2459 0.3838 0.7052
```

The 6 most intense peaks (2θ = 15–90°), sorted by position:
d (Å)  two_theta  intensity
3.200  27.9  83
3.031  29.5  100
2.951  30.3  27
2.838  31.5  34
2.732  32.8  24
1.861  49.0  49

***

This entry pairs a crystal structure of CdHgOs2 with its calculated XRD peak list. Radiation: Cu Kα. Structure: a DFT-relaxed cell (GGA-PBE, OQMD).

Structural model:
```
data_CdHgOs2
_chemical_formula_sum 'Cd4 Hg4 Os8'
_space_group_name_H-M_alt 'F -4 3 m'
_space_group_IT_number 216
_space_group_name_Hall 'F -4 2 3'
_cell_length_a 6.4915
_cell_length_b 6.4915
_cell_length_c 6.4915
_cell_angle_alpha 90.00
_cell_angle_beta 90.00
_cell_angle_gamma 90.00
loop_
_atom_site_label
_atom_site_fract_x
_atom_site_fract_y
_atom_site_fract_z
Cd1 0.0000 0.0000 0.0000
Hg1 0.2500 0.2500 0.2500
Os1 0.0000 0.0000 0.5000
Os2 0.2500 0.2500 0.7500
```

The 6 most intense peaks (2θ = 15–90°), sorted by position:
d (Å)  two_theta  intensity
3.748  23.7  3
3.246  27.5  2
2.295  39.3  100
1.623  56.7  17
1.325  71.2  35
1.148  84.4  11

***

This entry pairs a crystal structure of Nb2GaNi with its calculated XRD peak list. Radiation: Cu Kα. Structure: a DFT-relaxed cell (GGA-PBE, OQMD).

Structural model:
```
data_Nb2GaNi
_chemical_formula_sum 'Nb8 Ga4 Ni4'
_space_group_name_H-M_alt 'F -4 3 m'
_space_group_IT_number 216
_space_group_name_Hall 'F -4 2 3'
_cell_length_a 6.3256
_cell_length_b 6.3256
_cell_length_c 6.3256
_cell_angle_alpha 90.00
_cell_angle_beta 90.00
_cell_angle_gamma 90.00
loop_
_atom_site_label
_atom_site_fract_x
_atom_site_fract_y
_atom_site_fract_z
Nb1 0.0000 0.0000 0.0000
Nb2 0.2500 0.2500 0.2500
Ga1 0.0000 0.0000 0.5000
Ni1 0.2500 0.2500 0.7500
```

The 6 most intense peaks (2θ = 15–90°), sorted by position:
d (Å)  two_theta  intensity
3.652  24.4  3
2.236  40.3  100
1.907  47.7  2
1.581  58.4  16
1.291  73.3  32
1.118  87.2  10

***

This entry pairs a crystal structure of Ho4BBr3Cl2 with its calculated XRD peak list. Radiation: Cu Kα. Structure: a DFT-relaxed cell (GGA-PBE, OQMD).

Structural model:
```
data_Ho4BBr3Cl2
_chemical_formula_sum 'Ho8 B2 Br6 Cl4'
_space_group_name_H-M_alt 'C 1 2/m 1'
_space_group_IT_number 12
_space_group_name_Hall '-C 2y'
_cell_length_a 17.2945
_cell_length_b 3.8640
_cell_length_c 8.1382
_cell_angle_alpha 90.00
_cell_angle_beta 102.86
_cell_angle_gamma 90.00
loop_
_atom_site_label
_atom_site_fract_x
_atom_site_fract_y
_atom_site_fract_z
Ho1 0.0018 0.0000 0.2939
Ho2 0.1462 0.5000 0.5749
B1 0.0000 0.5000 0.5000
Br1 0.0000 0.5000 0.0000
Br2 0.1699 0.0000 0.8386
Cl1 0.1720 0.0000 0.3500
```

The 6 most intense peaks (2θ = 15–90°), sorted by position:
d (Å)  two_theta  intensity
4.122  21.6  15
3.093  28.9  17
2.834  31.6  24
2.804  31.9  100
1.993  45.5  20
1.975  45.9  20

***

This entry pairs a crystal structure of Gd3SbAu9 with its calculated XRD peak list. Radiation: Cu Kα. Structure: a DFT-relaxed cell (GGA-PBE, OQMD).

Structural model:
```
data_Gd3SbAu9
_chemical_formula_sum 'Gd6 Sb2 Au18'
_space_group_name_H-M_alt 'P 63/m'
_space_group_IT_number 176
_space_group_name_Hall '-P 6c'
_cell_length_a 8.2293
_cell_length_b 8.2293
_cell_length_c 9.1052
_cell_angle_alpha 90.00
_cell_angle_beta 90.00
_cell_angle_gamma 120.00
loop_
_atom_site_label
_atom_site_fract_x
_atom_site_fract_y
_atom_site_fract_z
Gd1 0.0352 0.3210 0.2500
Sb1 0.0000 0.0000 0.0000
Au1 0.0341 0.3684 0.5890
Au2 0.3333 0.6667 0.0863
Au3 0.3333 0.6667 0.7500
```

The 6 most intense peaks (2θ = 15–90°), sorted by position:
d (Å)  two_theta  intensity
2.442  36.8  88
2.376  37.9  100
2.311  39.0  30
2.015  45.0  21
1.703  53.8  21
1.279  74.1  26

***

This entry pairs a crystal structure of PrSn2PdAu with its calculated XRD peak list. Radiation: Cu Kα. Structure: a DFT-relaxed cell (GGA-PBE, OQMD).

Structural model:
```
data_PrSn2PdAu
_chemical_formula_sum 'Pr2 Sn4 Pd2 Au2'
_space_group_name_H-M_alt 'P 4/n m m'
_space_group_IT_number 129
_cell_length_a 4.5915
_cell_length_b 4.5915
_cell_length_c 11.1535
_cell_angle_alpha 90.00
_cell_angle_beta 90.00
_cell_angle_gamma 90.00
loop_
_space_group_symop_operation_xyz
'x,y,z'
'-x,-y,-z'
'-y+1/2,x,z'
'y+1/2,-x,-z'
'-x+1/2,-y+1/2,z'
'x+1/2,y+1/2,-z'
'y,-x+1/2,z'
'-y,x+1/2,-z'
'x+1/2,-y,-z'
'-x+1/2,y,z'
'-y,-x,-z'
'y,x,z'
'-x,y+1/2,-z'
'x,-y+1/2,z'
'y+1/2,x+1/2,-z'
'-y+1/2,-x+1/2,z'
loop_
_atom_site_label
_atom_site_fract_x
_atom_site_fract_y
_atom_site_fract_z
Pr1 0.2500 0.2500 0.2427
Sn1 0.2500 0.2500 0.8588
Sn2 0.2500 0.7500 0.5000
Pd1 0.2500 0.2500 0.6273
Au1 0.2500 0.7500 0.0000
```

The 6 most intense peaks (2θ = 15–90°), sorted by position:
d (Å)  two_theta  intensity
2.889  30.9  33
2.806  31.9  100
2.296  39.2  57
2.115  42.7  31
1.623  56.7  20
1.405  66.5  25

***

This entry pairs a crystal structure of DyLu6Te2Ir2 with its calculated XRD peak list. Radiation: Cu Kα. Structure: a DFT-relaxed cell (GGA-PBE, OQMD).

Structural model:
```
data_DyLu6Te2Ir2
_chemical_formula_sum 'Dy2 Lu12 Te4 Ir4'
_space_group_name_H-M_alt 'I m m 2'
_space_group_IT_number 44
_space_group_name_Hall 'I 2 -2'
_cell_length_a 3.9004
_cell_length_b 15.4897
_cell_length_c 9.2904
_cell_angle_alpha 90.00
_cell_angle_beta 90.00
_cell_angle_gamma 90.00
loop_
_atom_site_label
_atom_site_fract_x
_atom_site_fract_y
_atom_site_fract_z
Dy1 0.0000 0.0000 0.0000
Lu1 0.0000 0.1324 0.4179
Lu2 0.0000 0.3150 0.6292
Lu3 0.0000 0.3508 0.2675
Te1 0.0000 0.0000 0.6631
Te2 0.0000 0.5000 0.7669
Ir1 0.0000 0.2392 0.9295
```

The 6 most intense peaks (2θ = 15–90°), sorted by position:
d (Å)  two_theta  intensity
2.935  30.5  54
2.656  33.7  46
2.635  34.0  100
2.585  34.7  51
2.314  38.9  26
1.950  46.6  27